# Os3O
Theoretical powder XRD pattern, Cu Kα (λ = 1.5418 Å). Input: a PBE-relaxed structure.
No peak broadening, texture or thermal motion is included.

Largest 8 diffraction maxima, by angle, 2θ = 10–90°:
| 2θ/deg | I/Imax |
| --- | --- |
| 25.88 | 22 |
| 29.98 | 11 |
| 42.90 | 100 |
| 50.79 | 11 |
| 62.29 | 17 |
| 68.61 | 5 |
| 70.66 | 4 |
| 78.61 | 34 |

Cell and atoms:
Cell lengths 5.9621, 5.9621, 5.9621 Å; angles 90.00, 90.00, 90.00 degrees
Space group Fm-3m (No. 225)
Inequivalent atoms, fractional coordinates:
1 Os 0.0000 0.0000 0.0000 (multiplicity 4)
2 Os 0.2500 0.2500 0.2500 (multiplicity 8)
3 O 0.0000 0.0000 0.5000 (multiplicity 4)

***

# Rb2Tc3Se6
Theoretical powder XRD pattern, Cu Kα (λ = 1.5418 Å). Input: a PBE-relaxed structure.
No peak broadening, texture or thermal motion is included.

Largest 8 diffraction maxima, by angle, 2θ = 10–90°:
| 2θ/deg | I/Imax |
| --- | --- |
| 12.06 | 87 |
| 12.20 | 100 |
| 29.27 | 29 |
| 29.75 | 35 |
| 30.20 | 41 |
| 30.81 | 55 |
| 44.23 | 43 |
| 44.85 | 30 |

Cell and atoms:
Cell lengths 17.9282, 10.2817, 12.7003 Å; angles 90.00, 91.40, 90.00 degrees
Space group C2/c (No. 15)
Inequivalent atoms, fractional coordinates:
1 Rb 0.0000 0.1193 0.2500 (multiplicity 4)
2 Rb 0.0000 0.2805 0.7500 (multiplicity 4)
3 Rb 0.1127 0.2500 0.0188 (multiplicity 8)
4 Tc 0.1610 0.3423 0.4768 (multiplicity 8)
5 Tc 0.2103 0.1753 0.6225 (multiplicity 8)
6 Tc 0.2114 0.1114 0.4178 (multiplicity 8)
7 Se 0.0343 0.4622 0.4226 (multiplicity 8)
8 Se 0.0900 0.1330 0.5173 (multiplicity 8)
9 Se 0.1518 0.0788 0.7984 (multiplicity 8)
10 Se 0.1653 0.4024 0.6689 (multiplicity 8)
11 Se 0.1676 0.2806 0.2850 (multiplicity 8)
12 Se 0.2403 0.4608 0.9367 (multiplicity 8)

***

# In2As2Cl2O5
Theoretical powder XRD pattern, Cu Kα (λ = 1.5418 Å). Input: a PBE-relaxed structure.
No peak broadening, texture or thermal motion is included.

Largest 8 diffraction maxima, by angle, 2θ = 10–90°:
| 2θ/deg | I/Imax |
| --- | --- |
| 10.84 | 100 |
| 25.95 | 51 |
| 27.24 | 43 |
| 27.52 | 15 |
| 29.97 | 27 |
| 30.16 | 50 |
| 37.36 | 14 |
| 40.45 | 15 |

Cell and atoms:
Cell lengths 6.8438, 7.6332, 9.1707 Å; angles 108.42, 104.80, 102.18 degrees
Space group P-1 (No. 2)
Inequivalent atoms, fractional coordinates:
1 In 0.0989 0.3053 0.4762 (multiplicity 2)
2 In 0.3525 0.7759 0.3385 (multiplicity 2)
3 As 0.2021 0.2289 0.7974 (multiplicity 2)
4 As 0.3896 0.8455 0.7520 (multiplicity 2)
5 Cl 0.2538 0.7114 0.0448 (multiplicity 2)
6 Cl 0.2639 0.3897 0.2820 (multiplicity 2)
7 O 0.0416 0.7876 0.3500 (multiplicity 2)
8 O 0.1608 0.9589 0.7315 (multiplicity 2)
9 O 0.1864 0.6208 0.6146 (multiplicity 2)
10 O 0.3377 0.2689 0.6573 (multiplicity 2)
11 O 0.4917 0.9064 0.6045 (multiplicity 2)

***

# Tm7Ru2C11
Theoretical powder XRD pattern, Cu Kα (λ = 1.5418 Å). Input: a PBE-relaxed structure.
No peak broadening, texture or thermal motion is included.

Largest 8 diffraction maxima, by angle, 2θ = 10–90°:
| 2θ/deg | I/Imax |
| --- | --- |
| 27.28 | 46 |
| 28.37 | 100 |
| 32.40 | 47 |
| 32.60 | 65 |
| 34.02 | 54 |
| 35.45 | 57 |
| 36.18 | 54 |
| 38.17 | 55 |

Cell and atoms:
Cell lengths 3.3866, 16.4186, 19.5977 Å; angles 90.00, 90.00, 90.00 degrees
Space group Cmcm (No. 63)
Inequivalent atoms, fractional coordinates:
1 Tm 0.0000 0.0229 0.1273 (multiplicity 8)
2 Tm 0.0000 0.1621 0.5195 (multiplicity 8)
3 Tm 0.0000 0.2216 0.1547 (multiplicity 8)
4 Tm 0.0000 0.3973 0.2500 (multiplicity 4)
5 Ru 0.0000 0.4184 0.7500 (multiplicity 4)
6 Ru 0.0000 0.5000 0.0000 (multiplicity 4)
7 C 0.0000 0.0014 0.2500 (multiplicity 4)
8 C 0.0000 0.2195 0.7500 (multiplicity 4)
9 C 0.0000 0.2938 0.5632 (multiplicity 8)
10 C 0.0000 0.3007 0.7500 (multiplicity 4)
11 C 0.0000 0.3653 0.1233 (multiplicity 8)
12 C 0.0000 0.3737 0.5841 (multiplicity 8)
13 C 0.0000 0.4255 0.0800 (multiplicity 8)

***

# US2
Theoretical powder XRD pattern, Cu Kα (λ = 1.5418 Å). Input: a PBE-relaxed structure.
No peak broadening, texture or thermal motion is included.

Largest 8 diffraction maxima, by angle, 2θ = 10–90°:
| 2θ/deg | I/Imax |
| --- | --- |
| 24.34 | 51 |
| 24.57 | 100 |
| 25.35 | 47 |
| 27.50 | 77 |
| 35.43 | 69 |
| 38.91 | 31 |
| 41.05 | 36 |
| 44.21 | 35 |

Cell and atoms:
Cell lengths 7.0261, 4.0549, 8.4578 Å; angles 90.00, 90.00, 90.00 degrees
Space group Pnma (No. 62)
Inequivalent atoms, fractional coordinates:
1 U 0.2497 0.2500 0.1221 (multiplicity 4)
2 S 0.0295 0.2500 0.8339 (multiplicity 4)
3 S 0.1401 0.2500 0.4300 (multiplicity 4)

***

# Cs2ZrI6
Theoretical powder XRD pattern, Cu Kα (λ = 1.5418 Å). Input: a PBE-relaxed structure.
No peak broadening, texture or thermal motion is included.

Largest 8 diffraction maxima, by angle, 2θ = 10–90°:
| 2θ/deg | I/Imax |
| --- | --- |
| 25.53 | 100 |
| 29.57 | 74 |
| 42.30 | 54 |
| 50.07 | 44 |
| 52.46 | 19 |
| 67.57 | 17 |
| 69.58 | 23 |
| 77.37 | 17 |

Cell and atoms:
Cell lengths 12.0853, 12.0853, 12.0853 Å; angles 90.00, 90.00, 90.00 degrees
Space group Fm-3m (No. 225)
Inequivalent atoms, fractional coordinates:
1 Cs 0.2500 0.2500 0.2500 (multiplicity 8)
2 Zr 0.0000 0.0000 0.0000 (multiplicity 4)
3 I 0.0000 0.0000 0.2384 (multiplicity 24)

***

# LiSnP4O12
Theoretical powder XRD pattern, Cu Kα (λ = 1.5418 Å). Input: a PBE-relaxed structure.
No peak broadening, texture or thermal motion is included.

Largest 8 diffraction maxima, by angle, 2θ = 10–90°:
| 2θ/deg | I/Imax |
| --- | --- |
| 12.01 | 72 |
| 12.46 | 100 |
| 20.69 | 29 |
| 23.21 | 65 |
| 24.16 | 41 |
| 24.75 | 24 |
| 30.13 | 35 |
| 33.15 | 24 |

Cell and atoms:
Cell lengths 5.4098, 14.2106, 7.3993 Å; angles 90.00, 95.23, 90.00 degrees
Space group P2_1 (No. 4)
Inequivalent atoms, fractional coordinates:
1 Li 0.1441 0.0000 0.0989 (multiplicity 2)
2 Sn 0.0167 0.2302 0.5081 (multiplicity 2)
3 P 0.2817 0.8096 0.8910 (multiplicity 2)
4 P 0.3733 0.1647 0.9046 (multiplicity 2)
5 P 0.4628 0.5893 0.4440 (multiplicity 2)
6 P 0.4991 0.8757 0.5510 (multiplicity 2)
7 O 0.1135 0.7393 0.7867 (multiplicity 2)
8 O 0.1383 0.1988 0.7982 (multiplicity 2)
9 O 0.1662 0.8900 0.9797 (multiplicity 2)
10 O 0.2013 0.5897 0.4998 (multiplicity 2)
11 O 0.2343 0.3658 0.4919 (multiplicity 2)
12 O 0.3022 0.8263 0.4279 (multiplicity 2)
13 O 0.3468 0.1002 0.0597 (multiplicity 2)
14 O 0.3504 0.1513 0.4486 (multiplicity 2)
15 O 0.4224 0.9853 0.5416 (multiplicity 2)
16 O 0.4475 0.6128 0.2313 (multiplicity 2)
17 O 0.4632 0.7563 0.0406 (multiplicity 2)
18 O 0.4866 0.8492 0.7600 (multiplicity 2)